[1]
Diffraction record for H24PtC8N2F6. The powder XRD pattern is computed, not measured: it uses a structure optimized by DFT (PBE) and Cu Ka.
Peak positions follow from Bragg's law for the DFT cell and can differ from measured ones.

Crystal structure
a = 8.1904 Å, b = 8.1904 Å, c = 8.1904 Å
α = 119.92°, β = 119.92°, γ = 90.15°
Fractional positions:
H  0.0155  0.7251  0.2030
H  0.0177  0.2493  0.5181
H  0.0436  0.4563  0.2662
H  0.1875  0.9845  0.7096
H  0.1901  0.7774  0.7338
H  0.2226  0.9564  0.4127
H  0.2493  0.7311  0.2316
H  0.2689  0.5004  0.5181
H  0.2749  0.4779  0.2904
H  0.4563  0.1901  0.4127
H  0.4779  0.1875  0.2030
H  0.4996  0.0177  0.7684
H  0.5004  0.9823  0.2316
H  0.5221  0.8125  0.7970
H  0.5437  0.8099  0.5873
H  0.7251  0.5221  0.7096
H  0.7311  0.4996  0.4819
H  0.7507  0.2689  0.7684
H  0.7774  0.0436  0.5873
H  0.8099  0.2226  0.2662
H  0.8125  0.0155  0.2904
H  0.9564  0.5437  0.7338
H  0.9823  0.7507  0.4819
H  0.9845  0.2749  0.7970
Pt  0.5000  0.5000  0.0000
C  0.1439  0.8214  0.6150
C  0.1786  0.7936  0.3225
C  0.2064  0.5289  0.3850
C  0.4711  0.8561  0.6775
C  0.5289  0.1439  0.3225
C  0.7936  0.4711  0.6150
C  0.8214  0.2064  0.6775
C  0.8561  0.1786  0.3850
N  0.2500  0.7500  0.5000
N  0.7500  0.2500  0.5000
F  0.2966  0.6297  0.9263
F  0.3290  0.3290  0.0000
F  0.3703  0.2966  0.6669
F  0.6297  0.7034  0.3331
F  0.6710  0.6710  0.0000
F  0.7034  0.3703  0.0737

Principal peaks in the range 10° ≤ 2θ ≤ 80°, low angle first:
2θ = 13.23°, rel. 100.0; 2θ = 15.29°, rel. 18.2; 2θ = 21.69°, rel. 53.9; 2θ = 25.49°, rel. 49.9; 2θ = 30.87°, rel. 9.6; 2θ = 34.62°, rel. 18.8; 2θ = 38.04°, rel. 10.3; 2θ = 40.45°, rel. 21.6; 2θ = 46.35°, rel. 21.7; 2θ = 56.71°, rel. 10.7; 2θ = 59.72°, rel. 11.8; 2θ = 61.44°, rel. 10.4

***

[2]
Diffraction record for BaIn2P4O14. The powder XRD pattern is computed, not measured: it uses a structure optimized by DFT (PBE) and Cu Ka.
Peak positions follow from Bragg's law for the DFT cell and can differ from measured ones.

Crystal structure
a = 7.7498 Å, b = 7.7498 Å, c = 10.0415 Å
α = 99.66°, β = 99.66°, γ = 88.72°
Fractional positions:
Ba  0.0000  0.5000  0.0000
Ba  0.5000  0.0000  0.5000
In  0.0000  0.0000  0.0000
In  0.0000  0.0000  0.5000
In  0.4471  0.5529  0.7500
In  0.5529  0.4471  0.2500
P  0.1788  0.2693  0.2995
P  0.2521  0.6343  0.4395
P  0.2693  0.1788  0.7995
P  0.3657  0.7479  0.0605
P  0.6343  0.2521  0.9395
P  0.7307  0.8212  0.2005
P  0.7479  0.3657  0.5605
P  0.8212  0.7307  0.7005
O  0.0495  0.2225  0.1655
O  0.1382  0.4783  0.3374
O  0.1482  0.1757  0.4154
O  0.1610  0.8037  0.4064
O  0.1757  0.1482  0.9154
O  0.1963  0.8390  0.0936
O  0.2225  0.0495  0.6655
O  0.2528  0.3730  0.7855
O  0.2532  0.6119  0.5872
O  0.3638  0.5632  0.0990
O  0.3730  0.2528  0.2855
O  0.3881  0.7468  0.9128
O  0.4368  0.6362  0.4009
O  0.4783  0.1382  0.8374
O  0.5217  0.8618  0.1626
O  0.5632  0.3638  0.5990
O  0.6119  0.2532  0.0872
O  0.6270  0.7472  0.7145
O  0.6362  0.4368  0.9010
O  0.7468  0.3881  0.4128
O  0.7472  0.6270  0.2145
O  0.7775  0.9505  0.3345
O  0.8037  0.1610  0.9064
O  0.8243  0.8518  0.0846
O  0.8390  0.1963  0.5936
O  0.8518  0.8243  0.5846
O  0.8618  0.5217  0.6626
O  0.9505  0.7775  0.8345

Principal peaks in the range 10° ≤ 2θ ≤ 80°, low angle first:
2θ = 16.41°, rel. 23.8; 2θ = 19.89°, rel. 26.2; 2θ = 23.23°, rel. 100.0; 2θ = 24.55°, rel. 32.8; 2θ = 25.69°, rel. 23.1; 2θ = 26.94°, rel. 36.3; 2θ = 27.96°, rel. 37.2; 2θ = 28.40°, rel. 40.5; 2θ = 33.06°, rel. 39.8; 2θ = 33.27°, rel. 31.0; 2θ = 37.98°, rel. 26.8; 2θ = 42.50°, rel. 25.7

***

[3]
Diffraction record for V4SiSb2. The powder XRD pattern is computed, not measured: it uses a structure optimized by DFT (PBE) and Cu Ka.
Peak positions follow from Bragg's law for the DFT cell and can differ from measured ones.

Crystal structure
a = 7.3610 Å, b = 7.3610 Å, c = 7.3610 Å
α = 95.83°, β = 95.83°, γ = 142.82°
Fractional positions:
V  0.0848  0.7945  0.8793
V  0.2055  0.0848  0.2902
V  0.2945  0.5848  0.8793
V  0.4152  0.2945  0.7098
V  0.5848  0.7055  0.2902
V  0.7055  0.4152  0.1207
V  0.7945  0.9152  0.7098
V  0.9152  0.2055  0.1207
Si  0.2500  0.2500  0.0000
Si  0.7500  0.7500  0.0000
Sb  0.1411  0.3589  0.5000
Sb  0.3589  0.8589  0.2178
Sb  0.6411  0.1411  0.7822
Sb  0.8589  0.6411  0.5000

Principal peaks in the range 10° ≤ 2θ ≤ 80°, low angle first:
2θ = 27.75°, rel. 74.6; 2θ = 28.61°, rel. 21.4; 2θ = 36.42°, rel. 23.9; 2θ = 38.07°, rel. 100.0; 2θ = 38.36°, rel. 42.6; 2θ = 40.90°, rel. 16.0; 2θ = 42.40°, rel. 59.6; 2θ = 53.70°, rel. 35.4; 2θ = 53.93°, rel. 24.6; 2θ = 55.64°, rel. 15.2; 2θ = 69.18°, rel. 15.6; 2θ = 80.00°, rel. 22.1

***

Copy entry 3 word for word.
Diffraction record for V4SiSb2. The powder XRD pattern is computed, not measured: it uses a structure optimized by DFT (PBE) and Cu Ka.
Peak positions follow from Bragg's law for the DFT cell and can differ from measured ones.

Crystal structure
a = 7.3610 Å, b = 7.3610 Å, c = 7.3610 Å
α = 95.83°, β = 95.83°, γ = 142.82°
Fractional positions:
V  0.0848  0.7945  0.8793
V  0.2055  0.0848  0.2902
V  0.2945  0.5848  0.8793
V  0.4152  0.2945  0.7098
V  0.5848  0.7055  0.2902
V  0.7055  0.4152  0.1207
V  0.7945  0.9152  0.7098
V  0.9152  0.2055  0.1207
Si  0.2500  0.2500  0.0000
Si  0.7500  0.7500  0.0000
Sb  0.1411  0.3589  0.5000
Sb  0.3589  0.8589  0.2178
Sb  0.6411  0.1411  0.7822
Sb  0.8589  0.6411  0.5000

Principal peaks in the range 10° ≤ 2θ ≤ 80°, low angle first:
2θ = 27.75°, rel. 74.6; 2θ = 28.61°, rel. 21.4; 2θ = 36.42°, rel. 23.9; 2θ = 38.07°, rel. 100.0; 2θ = 38.36°, rel. 42.6; 2θ = 40.90°, rel. 16.0; 2θ = 42.40°, rel. 59.6; 2θ = 53.70°, rel. 35.4; 2θ = 53.93°, rel. 24.6; 2θ = 55.64°, rel. 15.2; 2θ = 69.18°, rel. 15.6; 2θ = 80.00°, rel. 22.1

***

What did the first record say?
Diffraction record for H24PtC8N2F6. The powder XRD pattern is computed, not measured: it uses a structure optimized by DFT (PBE) and Cu Ka.
Peak positions follow from Bragg's law for the DFT cell and can differ from measured ones.

Crystal structure
a = 8.1904 Å, b = 8.1904 Å, c = 8.1904 Å
α = 119.92°, β = 119.92°, γ = 90.15°
Fractional positions:
H  0.0155  0.7251  0.2030
H  0.0177  0.2493  0.5181
H  0.0436  0.4563  0.2662
H  0.1875  0.9845  0.7096
H  0.1901  0.7774  0.7338
H  0.2226  0.9564  0.4127
H  0.2493  0.7311  0.2316
H  0.2689  0.5004  0.5181
H  0.2749  0.4779  0.2904
H  0.4563  0.1901  0.4127
H  0.4779  0.1875  0.2030
H  0.4996  0.0177  0.7684
H  0.5004  0.9823  0.2316
H  0.5221  0.8125  0.7970
H  0.5437  0.8099  0.5873
H  0.7251  0.5221  0.7096
H  0.7311  0.4996  0.4819
H  0.7507  0.2689  0.7684
H  0.7774  0.0436  0.5873
H  0.8099  0.2226  0.2662
H  0.8125  0.0155  0.2904
H  0.9564  0.5437  0.7338
H  0.9823  0.7507  0.4819
H  0.9845  0.2749  0.7970
Pt  0.5000  0.5000  0.0000
C  0.1439  0.8214  0.6150
C  0.1786  0.7936  0.3225
C  0.2064  0.5289  0.3850
C  0.4711  0.8561  0.6775
C  0.5289  0.1439  0.3225
C  0.7936  0.4711  0.6150
C  0.8214  0.2064  0.6775
C  0.8561  0.1786  0.3850
N  0.2500  0.7500  0.5000
N  0.7500  0.2500  0.5000
F  0.2966  0.6297  0.9263
F  0.3290  0.3290  0.0000
F  0.3703  0.2966  0.6669
F  0.6297  0.7034  0.3331
F  0.6710  0.6710  0.0000
F  0.7034  0.3703  0.0737

Principal peaks in the range 10° ≤ 2θ ≤ 80°, low angle first:
2θ = 13.23°, rel. 100.0; 2θ = 15.29°, rel. 18.2; 2θ = 21.69°, rel. 53.9; 2θ = 25.49°, rel. 49.9; 2θ = 30.87°, rel. 9.6; 2θ = 34.62°, rel. 18.8; 2θ = 38.04°, rel. 10.3; 2θ = 40.45°, rel. 21.6; 2θ = 46.35°, rel. 21.7; 2θ = 56.71°, rel. 10.7; 2θ = 59.72°, rel. 11.8; 2θ = 61.44°, rel. 10.4